# LiMnVP4O14
Computed powder diffractogram, Cu Kα X-rays. Input: the PBE+U geometry in the Materials Project.
Peak positions follow from Bragg's law for the DFT cell and can differ from measured ones.

Atomic structure:
```
data_LiMnVP4O14
_cell_length_a 7.145
_cell_length_b 8.179
_cell_length_c 9.677
_cell_angle_alpha 90.79
_cell_angle_beta 111.24
_cell_angle_gamma 91.34
_space_group_name_H-M_alt 'P 1'
_space_group_IT_number 1
loop_
_space_group_symop_operation_xyz
'x,y,z'
loop_
_atom_site_label
_atom_site_type_symbol
_atom_site_fract_x
_atom_site_fract_y
_atom_site_fract_z
Li1 Li 0.000 0.000 0.000
Li2 Li 0.346 0.505 0.499
Mn1 Mn 0.940 0.649 0.489
Mn2 Mn 0.952 0.635 0.992
V1 V 0.393 0.138 0.504
V2 V 0.399 0.148 0.004
P1 P 0.156 0.325 0.190
P2 P 0.159 0.320 0.689
P3 P 0.192 0.817 0.807
P4 P 0.196 0.820 0.307
P5 P 0.583 0.930 0.811
P6 P 0.588 0.930 0.311
P7 P 0.763 0.425 0.185
P8 P 0.765 0.423 0.685
O1 O 0.064 0.819 0.143
O2 O 0.066 0.816 0.643
O3 O 0.144 0.680 0.895
O4 O 0.155 0.680 0.397
O5 O 0.181 0.489 0.133
O6 O 0.184 0.485 0.628
O7 O 0.187 0.986 0.880
O8 O 0.189 0.990 0.374
O9 O 0.192 0.179 0.100
O10 O 0.202 0.178 0.601
O11 O 0.280 0.304 0.856
O12 O 0.281 0.313 0.358
O13 O 0.424 0.794 0.824
O14 O 0.425 0.793 0.321
O15 O 0.516 0.975 0.647
O16 O 0.516 0.983 0.147
O17 O 0.562 0.329 0.621
O18 O 0.565 0.325 0.128
O19 O 0.575 0.081 0.405
O20 O 0.582 0.083 0.907
O21 O 0.759 0.575 0.593
O22 O 0.768 0.574 0.092
O23 O 0.783 0.846 0.360
O24 O 0.785 0.852 0.867
O25 O 0.814 0.462 0.848
O26 O 0.816 0.470 0.348
O27 O 0.924 0.293 0.172
O28 O 0.926 0.294 0.670
```

Peak list (10 most intense, 2θ from 5° to 70°, in order of rising 2θ)
| 2θ/deg | Rel. int. |
| --- | --- |
| 13.30 | 18 |
| 16.92 | 100 |
| 17.44 | 88 |
| 22.26 | 74 |
| 22.75 | 38 |
| 26.91 | 34 |
| 29.17 | 75 |
| 29.42 | 26 |
| 29.85 | 45 |
| 30.08 | 21 |



# Li2MnV2P3O12
Computed powder diffractogram, Cu Kα X-rays. Input: the PBE+U geometry in the Materials Project.
Peak positions follow from Bragg's law for the DFT cell and can differ from measured ones.

Atomic structure:
```
data_Li2MnV2P3O12
_cell_length_a 8.635
_cell_length_b 8.635
_cell_length_c 8.556
_cell_angle_alpha 116.93
_cell_angle_beta 116.93
_cell_angle_gamma 62.40
_space_group_name_H-M_alt 'P 1'
_space_group_IT_number 1
loop_
_space_group_symop_operation_xyz
'x,y,z'
loop_
_atom_site_label
_atom_site_type_symbol
_atom_site_fract_x
_atom_site_fract_y
_atom_site_fract_z
Li1 Li 0.000 0.000 0.000
Li2 Li 0.107 0.489 0.097
Li3 Li 0.511 0.893 0.903
Li4 Li 0.706 0.294 0.500
Mn1 Mn 0.366 0.141 0.263
Mn2 Mn 0.859 0.634 0.737
V1 V 0.004 0.786 0.605
V2 V 0.214 0.996 0.395
V3 V 0.507 0.292 0.103
V4 V 0.708 0.493 0.897
P1 P 0.107 0.182 0.800
P2 P 0.301 0.699 0.000
P3 P 0.400 0.600 0.500
P4 P 0.607 0.084 0.691
P5 P 0.818 0.893 0.200
P6 P 0.916 0.393 0.309
O1 O 0.043 0.035 0.783
O2 O 0.103 0.227 0.317
O3 O 0.105 0.726 0.848
O4 O 0.168 0.127 0.636
O5 O 0.250 0.642 0.575
O6 O 0.261 0.208 0.991
O7 O 0.274 0.895 0.152
O8 O 0.325 0.545 0.059
O9 O 0.358 0.750 0.425
O10 O 0.420 0.405 0.350
O11 O 0.452 0.059 0.501
O12 O 0.455 0.675 0.941
O13 O 0.549 0.110 0.849
O14 O 0.595 0.580 0.650
O15 O 0.623 0.045 0.188
O16 O 0.663 0.239 0.713
O17 O 0.761 0.337 0.287
O18 O 0.773 0.897 0.683
O19 O 0.792 0.739 0.009
O20 O 0.873 0.832 0.364
O21 O 0.890 0.451 0.151
O22 O 0.941 0.548 0.499
O23 O 0.955 0.377 0.812
O24 O 0.965 0.957 0.217
```

Peak list (10 most intense, 2θ from 5° to 70°, in order of rising 2θ)
| 2θ/deg | Rel. int. |
| --- | --- |
| 19.78 | 83 |
| 23.50 | 51 |
| 23.76 | 100 |
| 30.69 | 16 |
| 32.59 | 37 |
| 32.86 | 34 |
| 33.02 | 32 |
| 34.50 | 23 |
| 34.67 | 44 |
| 61.17 | 18 |



# Li2MnVP4O14
Computed powder diffractogram, Cu Kα X-rays. Input: the PBE+U geometry in the Materials Project.
Peak positions follow from Bragg's law for the DFT cell and can differ from measured ones.

Atomic structure:
```
data_Li2MnVP4O14
_cell_length_a 4.863
_cell_length_b 8.296
_cell_length_c 13.365
_cell_angle_alpha 90.00
_cell_angle_beta 91.47
_cell_angle_gamma 90.00
_space_group_name_H-M_alt 'P 1'
_space_group_IT_number 1
loop_
_space_group_symop_operation_xyz
'x,y,z'
loop_
_atom_site_label
_atom_site_type_symbol
_atom_site_fract_x
_atom_site_fract_y
_atom_site_fract_z
Li1 Li 0.086 0.000 0.413
Li2 Li 0.411 0.503 0.088
Li3 Li 0.589 0.003 0.912
Li4 Li 0.914 0.500 0.587
Mn1 Mn 0.098 0.638 0.384
Mn2 Mn 0.902 0.138 0.616
V1 V 0.399 0.142 0.113
V2 V 0.601 0.642 0.887
P1 P 0.082 0.428 0.794
P2 P 0.110 0.822 0.012
P3 P 0.392 0.317 0.492
P4 P 0.419 0.925 0.706
P5 P 0.581 0.425 0.294
P6 P 0.608 0.817 0.508
P7 P 0.890 0.322 0.988
P8 P 0.918 0.928 0.206
O1 O 0.031 0.795 0.127
O2 O 0.067 0.343 0.693
O3 O 0.105 0.077 0.206
O4 O 0.119 0.966 0.678
O5 O 0.156 0.320 0.052
O6 O 0.199 0.173 0.509
O7 O 0.253 0.480 0.502
O8 O 0.255 0.986 0.003
O9 O 0.304 0.680 0.992
O10 O 0.338 0.811 0.445
O11 O 0.374 0.467 0.827
O12 O 0.394 0.574 0.292
O13 O 0.438 0.836 0.806
O14 O 0.473 0.295 0.375
O15 O 0.527 0.795 0.625
O16 O 0.562 0.336 0.194
O17 O 0.606 0.074 0.708
O18 O 0.626 0.967 0.173
O19 O 0.662 0.311 0.555
O20 O 0.696 0.180 0.008
O21 O 0.745 0.486 0.997
O22 O 0.747 0.980 0.498
O23 O 0.801 0.673 0.491
O24 O 0.844 0.820 0.948
O25 O 0.881 0.466 0.322
O26 O 0.895 0.577 0.794
O27 O 0.933 0.843 0.307
O28 O 0.969 0.295 0.873
```

Peak list (10 most intense, 2θ from 5° to 70°, in order of rising 2θ)
| 2θ/deg | Rel. int. |
| --- | --- |
| 17.04 | 100 |
| 22.07 | 20 |
| 22.36 | 44 |
| 25.27 | 19 |
| 26.80 | 22 |
| 28.93 | 29 |
| 29.19 | 57 |
| 29.58 | 27 |
| 34.49 | 16 |
| 42.99 | 14 |



# Li2MnVP4O14
Computed powder diffractogram, Cu Kα X-rays. Input: the PBE+U geometry in the Materials Project.
Peak positions follow from Bragg's law for the DFT cell and can differ from measured ones.

Atomic structure:
```
data_Li2MnVP4O14
_cell_length_a 7.154
_cell_length_b 8.312
_cell_length_c 9.733
_cell_angle_alpha 90.00
_cell_angle_beta 110.85
_cell_angle_gamma 90.00
_space_group_name_H-M_alt 'P 1'
_space_group_IT_number 1
loop_
_space_group_symop_operation_xyz
'x,y,z'
loop_
_atom_site_label
_atom_site_type_symbol
_atom_site_fract_x
_atom_site_fract_y
_atom_site_fract_z
Li1 Li 0.173 0.000 0.497
Li2 Li 0.174 0.000 0.000
Li3 Li 0.826 0.500 0.000
Li4 Li 0.827 0.500 0.503
Mn1 Mn 0.229 0.362 0.009
Mn2 Mn 0.771 0.862 0.991
V1 V 0.228 0.360 0.506
V2 V 0.772 0.860 0.494
P1 P 0.018 0.681 0.810
P2 P 0.022 0.680 0.310
P3 P 0.410 0.573 0.814
P4 P 0.414 0.577 0.313
P5 P 0.586 0.077 0.687
P6 P 0.590 0.073 0.186
P7 P 0.978 0.180 0.690
P8 P 0.982 0.181 0.190
O1 O 0.006 0.019 0.126
O2 O 0.007 0.517 0.380
O3 O 0.016 0.321 0.602
O4 O 0.022 0.325 0.105
O5 O 0.104 0.186 0.356
O6 O 0.106 0.182 0.854
O7 O 0.250 0.705 0.829
O8 O 0.253 0.707 0.328
O9 O 0.346 0.532 0.650
O10 O 0.358 0.537 0.150
O11 O 0.386 0.164 0.625
O12 O 0.389 0.155 0.129
O13 O 0.407 0.422 0.906
O14 O 0.416 0.428 0.406
O15 O 0.584 0.928 0.594
O16 O 0.593 0.922 0.094
O17 O 0.611 0.655 0.871
O18 O 0.614 0.664 0.375
O19 O 0.642 0.037 0.850
O20 O 0.654 0.032 0.350
O21 O 0.747 0.207 0.672
O22 O 0.750 0.205 0.171
O23 O 0.894 0.682 0.146
O24 O 0.896 0.686 0.644
O25 O 0.978 0.825 0.895
O26 O 0.984 0.821 0.398
O27 O 0.993 0.017 0.620
O28 O 0.994 0.519 0.874
```

Peak list (10 most intense, 2θ from 5° to 70°, in order of rising 2θ)
| 2θ/deg | Rel. int. |
| --- | --- |
| 17.02 | 100 |
| 22.10 | 20 |
| 22.28 | 45 |
| 25.23 | 19 |
| 26.90 | 21 |
| 28.99 | 29 |
| 29.11 | 56 |
| 29.44 | 28 |
| 34.43 | 13 |
| 42.84 | 14 |